Record 1
Theoretical powder diffraction line list of Er6Ge2Se3S for CuKα, from DFT lattice parameters and positions (PBE).
Peak positions follow from Bragg's law for the DFT cell and can differ from measured ones.

Structural model:
Lattice parameters (Å, degrees): 9.0742 9.0742 8.1202 103.40 103.40 25.79
Sites, in units of the cell vectors:
Er 0.0047 0.0047 0.2415
Er 0.3310 0.3310 0.4256
Er 0.3363 0.3363 0.9082
Er 0.6637 0.6637 0.0918
Er 0.6690 0.6690 0.5744
Er 0.9953 0.9953 0.7585
Ge 0.1660 0.1660 0.3302
Ge 0.8340 0.8340 0.6698
Se 0.1649 0.1649 0.8340
Se 0.5000 0.5000 0.5000
Se 0.8351 0.8351 0.1660
S 0.5000 0.5000 0.0000

Largest 10 diffraction maxima, in order of falling intensity, 2θ from 10° to 80°:
d 2.866, I = 100.0; d 2.032, I = 36.0; d 2.020, I = 24.7; d 3.305, I = 23.0; d 1.654, I = 12.9; d 2.025, I = 12.5; d 1.433, I = 11.6; d 1.279, I = 11.0; d 1.285, I = 10.1; d 3.326, I = 7.4

***

Record 2
Theoretical powder diffraction line list of Er4GeSeS2 for CuKα, from DFT lattice parameters and positions (PBE).
Peak positions follow from Bragg's law for the DFT cell and can differ from measured ones.

Structural model:
Lattice parameters (Å, degrees): 6.8631 3.9851 6.9315 90.00 109.56 90.00
Sites, in units of the cell vectors:
Er 0.2401 0.0000 0.2361
Er 0.2474 0.5000 0.7560
Er 0.7526 0.5000 0.2440
Er 0.7599 0.0000 0.7639
Ge 0.5000 0.0000 0.0000
Se 0.5000 0.5000 0.5000
S 0.0000 0.0000 0.5000
S 0.0000 0.5000 0.0000

Largest 10 diffraction maxima, in order of falling intensity, 2θ from 10° to 80°:
d 2.816, I = 100.0; d 1.999, I = 24.4; d 1.984, I = 24.2; d 1.991, I = 24.2; d 3.254, I = 23.8; d 1.627, I = 12.8; d 3.266, I = 11.7; d 3.234, I = 11.6; d 1.408, I = 11.6; d 1.700, I = 11.2

***

Record 3
Theoretical powder diffraction line list of ErScGe for CuKα, from DFT lattice parameters and positions (PBE).
Peak positions follow from Bragg's law for the DFT cell and can differ from measured ones.

Structural model:
Lattice parameters (Å, degrees): 4.1965 4.1965 7.7783 90.00 90.00 90.00
Sites, in units of the cell vectors:
Er 0.2500 0.2500 0.1487
Er 0.7500 0.7500 0.8513
Sc 0.2500 0.7500 0.5000
Sc 0.7500 0.2500 0.5000
Ge 0.2500 0.2500 0.7625
Ge 0.7500 0.7500 0.2375

Largest 10 diffraction maxima, in order of falling intensity, 2θ from 10° to 80°:
d 2.853, I = 100.0; d 2.967, I = 99.4; d 2.772, I = 96.8; d 2.098, I = 79.3; d 2.359, I = 77.4; d 1.690, I = 43.2; d 2.593, I = 43.0; d 1.631, I = 41.4; d 7.778, I = 37.9; d 2.206, I = 37.5

***

Record 4
Theoretical powder diffraction line list of ErSc2Ge for CuKα, from DFT lattice parameters and positions (PBE).
Peak positions follow from Bragg's law for the DFT cell and can differ from measured ones.

Structural model:
Lattice parameters (Å, degrees): 4.4383 4.4383 4.4626 90.00 90.00 90.00
Sites, in units of the cell vectors:
Er 0.0000 0.0000 0.0000
Sc 0.0000 0.5000 0.5000
Sc 0.5000 0.0000 0.5000
Ge 0.5000 0.5000 0.0000

Largest 10 diffraction maxima, in order of falling intensity, 2θ from 10° to 80°:
d 2.567, I = 100.0; d 2.219, I = 32.6; d 3.142, I = 30.2; d 1.339, I = 24.7; d 1.573, I = 21.5; d 4.463, I = 20.4; d 2.231, I = 16.6; d 4.438, I = 14.6; d 1.986, I = 13.9; d 1.344, I = 12.5